# 1
This entry pairs a crystal structure of Nd6Dy3Tm2Tl with its simulated powder diffractogram. Radiation: copper Kα. Structure: a DFT-relaxed cell (PBE, Alexandria).
Neutral-atom scattering factors, no anomalous dispersion.

Structural model:
a b c (Å): 6.2226 6.2226 11.7831
angles (deg): 95.11 95.11 120.16
Fractional positions:
1 Nd 0.0817 0.4105 0.2469
2 Nd 0.2466 0.2466 0.7513
3 Nd 0.4105 0.0817 0.2469
4 Nd 0.5895 0.9183 0.7531
5 Nd 0.7534 0.7534 0.2487
6 Nd 0.9183 0.5895 0.7531
7 Dy 0.1678 0.8322 0.5000
8 Dy 0.5000 0.5000 0.5000
9 Dy 0.8322 0.1678 0.5000
10 Tm 0.3340 0.6660 0.0000
11 Tm 0.6660 0.3340 0.0000
12 Tl 0.0000 0.0000 0.0000

Main lines, low angle first (15 to 90 degrees two-theta):
2θ 30.54, I = 100; 2θ 30.85, I = 32; 2θ 35.45, I = 45; 2θ 35.60, I = 22; 2θ 50.92, I = 16; 2θ 51.28, I = 24; 2θ 60.44, I = 10; 2θ 60.63, I = 24; 2θ 60.81, I = 9; 2θ 63.57, I = 12

# 2
This entry pairs a crystal structure of NdDyTm2Tl4 with its simulated powder diffractogram. Radiation: copper Kα. Structure: a DFT-relaxed cell (PBE, Alexandria).
Neutral-atom scattering factors, no anomalous dispersion.

Structural model:
a b c (Å): 9.3465 9.3465 9.3465
angles (deg): 33.42 33.42 33.42
Fractional positions:
1 Nd 0.0000 0.0000 0.0000
2 Dy 0.5000 0.5000 0.5000
3 Tm 0.2495 0.2495 0.2495
4 Tm 0.7505 0.7505 0.7505
5 Tl 0.1265 0.1265 0.1265
6 Tl 0.3766 0.3766 0.3766
7 Tl 0.6234 0.6234 0.6234
8 Tl 0.8735 0.8735 0.8735

Main lines, low angle first (15 to 90 degrees two-theta):
2θ 23.37, I = 1; 2θ 33.29, I = 100; 2θ 47.79, I = 18; 2θ 59.33, I = 10; 2θ 59.53, I = 29; 2θ 69.78, I = 6; 2θ 70.01, I = 6; 2θ 79.57, I = 8; 2θ 79.73, I = 8; 2θ 89.21, I = 3

# 3
This entry pairs a crystal structure of Nd2Dy3Tm6 with its simulated powder diffractogram. Radiation: copper Kα. Structure: a DFT-relaxed cell (PBE, Alexandria).
Neutral-atom scattering factors, no anomalous dispersion.

Structural model:
a b c (Å): 6.0678 6.0678 11.6135
angles (deg): 95.02 95.02 120.06
Fractional positions:
1 Nd 0.1667 0.8333 0.0000
2 Nd 0.8333 0.1667 0.0000
3 Dy 0.0000 0.0000 0.5000
4 Dy 0.3352 0.6648 0.5000
5 Dy 0.6648 0.3352 0.5000
6 Tm 0.0825 0.4157 0.7469
7 Tm 0.2510 0.2510 0.2530
8 Tm 0.4157 0.0825 0.7469
9 Tm 0.5843 0.9175 0.2531
10 Tm 0.7490 0.7490 0.7470
11 Tm 0.9175 0.5843 0.2531

Main lines, low angle first (15 to 90 degrees two-theta):
2θ 31.28, I = 100; 2θ 36.28, I = 51; 2θ 52.25, I = 36; 2θ 62.16, I = 39; 2θ 62.23, I = 4; 2θ 65.27, I = 12; 2θ 76.98, I = 4; 2θ 85.48, I = 15; 2θ 88.20, I = 11; 2θ 88.32, I = 6

# 4
This entry pairs a crystal structure of Nd2Dy5Tm2 with its simulated powder diffractogram. Radiation: copper Kα. Structure: a DFT-relaxed cell (PBE, Alexandria).
Neutral-atom scattering factors, no anomalous dispersion.

Structural model:
a b c (Å): 6.1586 6.1597 9.4134
angles (deg): 90.11 109.05 119.82
Fractional positions:
1 Nd 0.0561 0.4436 0.3304
2 Nd 0.9439 0.5564 0.6696
3 Dy 0.2777 0.2226 0.6689
4 Dy 0.3874 0.1096 0.3306
5 Dy 0.5000 0.0000 0.0000
6 Dy 0.6126 0.8904 0.6694
7 Dy 0.7223 0.7774 0.3311
8 Tm 0.1671 0.3322 0.0001
9 Tm 0.8329 0.6678 0.9999

Main lines, low angle first (15 to 90 degrees two-theta):
2θ 30.77, I = 100; 2θ 35.68, I = 51; 2θ 51.31, I = 24; 2θ 51.42, I = 12; 2θ 60.99, I = 14; 2θ 61.08, I = 25; 2θ 64.13, I = 9; 2θ 83.62, I = 4; 2θ 83.75, I = 7; 2θ 86.45, I = 8

# 5
This entry pairs a crystal structure of Nd2Dy3Tm5 with its simulated powder diffractogram. Radiation: copper Kα. Structure: a DFT-relaxed cell (PBE, Alexandria).
Neutral-atom scattering factors, no anomalous dispersion.

Structural model:
a b c (Å): 9.4925 9.4925 9.3662
angles (deg): 108.13 108.13 112.59
Fractional positions:
1 Nd 0.0156 0.2720 0.0470
2 Nd 0.2720 0.0156 0.5470
3 Nd 0.7280 0.9844 0.4530
4 Nd 0.9844 0.7280 0.9530
5 Dy 0.0208 0.9792 0.7500
6 Dy 0.2215 0.4683 0.4493
7 Dy 0.4683 0.2215 0.9493
8 Dy 0.5317 0.7785 0.0507
9 Dy 0.7785 0.5317 0.5507
10 Dy 0.9792 0.0208 0.2500
11 Tm 0.1404 0.3870 0.7711
12 Tm 0.2300 0.7700 0.7500
13 Tm 0.2741 0.7259 0.2500
14 Tm 0.3870 0.1404 0.2711
15 Tm 0.4749 0.5251 0.2500
16 Tm 0.5251 0.4749 0.7500
17 Tm 0.6130 0.8596 0.7289
18 Tm 0.7259 0.2741 0.7500
19 Tm 0.7700 0.2300 0.2500
20 Tm 0.8596 0.6130 0.2289

Main lines, low angle first (15 to 90 degrees two-theta):
2θ 30.55, I = 100; 2θ 30.79, I = 85; 2θ 32.36, I = 20; 2θ 34.04, I = 41; 2θ 38.22, I = 14; 2θ 38.80, I = 16; 2θ 47.67, I = 13; 2θ 49.42, I = 19; 2θ 58.77, I = 16; 2θ 66.32, I = 20

# 6
This entry pairs a crystal structure of NdDy8Tm3 with its simulated powder diffractogram. Radiation: copper Kα. Structure: a DFT-relaxed cell (PBE, Alexandria).
Neutral-atom scattering factors, no anomalous dispersion.

Structural model:
a b c (Å): 8.5935 8.5935 8.5935
angles (deg): 136.16 98.53 97.49
Fractional positions:
1 Nd 0.0000 0.0000 0.0000
2 Dy 0.0833 0.2510 0.8323
3 Dy 0.2592 0.2449 0.5042
4 Dy 0.2592 0.7551 0.0143
5 Dy 0.4187 0.2510 0.1677
6 Dy 0.5813 0.7490 0.8323
7 Dy 0.7408 0.2449 0.9857
8 Dy 0.7408 0.7551 0.4958
9 Dy 0.9167 0.7490 0.1677
10 Tm 0.2603 0.7603 0.5000
11 Tm 0.5000 0.5000 0.0000
12 Tm 0.7397 0.2397 0.5000

Main lines, low angle first (15 to 90 degrees two-theta):
2θ 22.36, I = 21; 2θ 31.58, I = 50; 2θ 31.89, I = 100; 2θ 32.09, I = 68; 2θ 35.93, I = 34; 2θ 45.69, I = 19; 2θ 51.82, I = 22; 2θ 56.43, I = 17; 2θ 57.02, I = 18; 2θ 66.65, I = 23

Q: Number 1 is which compound?
A: Nd6Dy3Tm2Tl